La2ZnSiPd6: computed XRD peak list (Cu Kα X-rays), based on a GGA-PBE-relaxed structure.

Structure:
```
La2ZnSiPd6
1.0
5.829 -2.785 0.000
5.829 2.785 0.000
-5.453 0.000 6.188
La Zn Si Pd
2 1 1 6
Cartesian
1.658 0.000 1.315
4.547 0.000 4.873
5.829 0.000 0.000
-2.726 0.000 3.094
4.350 1.382 1.586
-0.390 0.000 3.754
1.856 1.382 4.602
4.350 -1.382 1.586
6.596 0.000 2.434
1.856 -1.382 4.602
```

The 10 most intense peaks (2θ from 5° to 70°), by intensity:
| 2theta | intensity |
| --- | --- |
| 38.32 | 100.0 |
| 39.05 | 75.6 |
| 41.29 | 61.4 |
| 28.86 | 44.2 |
| 30.73 | 38.4 |
| 29.32 | 34.0 |
| 41.07 | 32.3 |
| 43.16 | 31.5 |
| 28.35 | 27.2 |
| 57.03 | 23.3 |